[1]
The following is a simulated PXRD pattern of ErTlRh2. It was derived from a cell relaxed with PBE, using Cu Kα X-rays.
Kinematic intensities with the Lorentz-polarization factor, no thermal factor.

Atomic structure:
a = 4.7190 Å, b = 4.7190 Å, c = 4.7190 Å
α = 60.00°, β = 60.00°, γ = 60.00°
Fractional positions:
Er1 0.0000 0.0000 0.0000
Tl1 0.5000 0.5000 0.5000
Rh1 0.2500 0.2500 0.2500
Rh2 0.7500 0.7500 0.7500

Principal peaks in the range 2θ from 10° to 80°, most intense first:
- 2θ 38.14, I = 100.0
- 2θ 68.93, I = 35.1
- 2θ 55.04, I = 17.3
- 2θ 26.72, I = 8.6
- 2θ 62.21, I = 3.7
- 2θ 47.18, I = 2.7
- 2θ 23.08, I = 0.8

[2]
The following is a simulated PXRD pattern of MgZn3. It was derived from a cell relaxed with PBE, using Cu Kα X-rays.
Kinematic intensities with the Lorentz-polarization factor, no thermal factor.

Atomic structure:
a = 2.9016 Å, b = 4.6758 Å, c = 4.8824 Å
α = 90.00°, β = 90.00°, γ = 90.00°
Fractional positions:
Mg1 0.0000 0.0000 0.0000
Zn1 0.0000 0.5000 0.6614
Zn2 0.5000 0.0000 0.4957
Zn3 0.5000 0.5000 0.1683

Principal peaks in the range 2θ from 10° to 80°, most intense first:
- 2θ 41.01, I = 100.0
- 2θ 41.74, I = 48.1
- 2θ 38.51, I = 39.7
- 2θ 36.01, I = 26.9
- 2θ 71.36, I = 17.6
- 2θ 78.90, I = 17.3
- 2θ 53.74, I = 16.3
- 2θ 65.79, I = 15.0
- 2θ 79.55, I = 13.0
- 2θ 36.82, I = 12.1

[3]
The following is a simulated PXRD pattern of LiYSn. It was derived from a cell relaxed with PBE, using Cu Kα X-rays.
Kinematic intensities with the Lorentz-polarization factor, no thermal factor.

Atomic structure:
a = 9.3750 Å, b = 9.3750 Å, c = 7.3591 Å
α = 90.00°, β = 90.00°, γ = 120.00°
Fractional positions:
Li1 0.1670 0.3341 0.0000
Li2 0.1670 0.8330 0.0000
Li3 0.3333 0.6667 0.6283
Li4 0.3341 0.1670 0.5000
Li5 0.6659 0.8330 0.0000
Li6 0.6667 0.3333 0.1283
Li7 0.8330 0.1670 0.5000
Li8 0.8330 0.6659 0.5000
Y1 0.0000 0.0000 0.2982
Y2 0.0000 0.0000 0.7982
Y3 0.0273 0.5137 0.3032
Y4 0.4863 0.5137 0.3032
Y5 0.4863 0.9727 0.3032
Y6 0.5137 0.0273 0.8032
Y7 0.5137 0.4863 0.8032
Y8 0.9727 0.4863 0.8032
Sn1 0.1665 0.3330 0.5704
Sn2 0.1665 0.8335 0.5704
Sn3 0.3330 0.1665 0.0704
Sn4 0.3333 0.6667 0.0343
Sn5 0.6667 0.3333 0.5343
Sn6 0.6670 0.8335 0.5704
Sn7 0.8335 0.1665 0.0704
Sn8 0.8335 0.6670 0.0704

Principal peaks in the range 2θ from 10° to 80°, most intense first:
- 2θ 32.85, I = 100.0
- 2θ 25.05, I = 88.8
- 2θ 38.40, I = 67.2
- 2θ 51.41, I = 25.9
- 2θ 64.38, I = 25.0
- 2θ 65.96, I = 22.6
- 2θ 43.09, I = 21.0
- 2θ 46.41, I = 17.6
- 2θ 61.76, I = 15.4
- 2θ 69.46, I = 10.4

[4]
The following is a simulated PXRD pattern of PmPrIn2. It was derived from a cell relaxed with PBE, using Cu Kα X-rays.
Kinematic intensities with the Lorentz-polarization factor, no thermal factor.

Atomic structure:
a = 5.4888 Å, b = 5.4888 Å, c = 5.4888 Å
α = 60.00°, β = 60.00°, γ = 60.00°
Fractional positions:
Pm1 0.0000 0.0000 0.0000
Pr1 0.5000 0.5000 0.5000
In1 0.2500 0.2500 0.2500
In2 0.7500 0.7500 0.7500

Principal peaks in the range 2θ from 10° to 80°, most intense first:
- 2θ 32.63, I = 100.0
- 2θ 58.23, I = 37.4
- 2θ 46.81, I = 18.1
- 2θ 77.82, I = 15.9
- 2θ 68.36, I = 11.5
- 2θ 22.91, I = 1.3
- 2θ 52.74, I = 0.6

[5]
The following is a simulated PXRD pattern of Cs3V2Cl9. It was derived from a cell relaxed with PBE, using Cu Kα X-rays.
Kinematic intensities with the Lorentz-polarization factor, no thermal factor.

Atomic structure:
a = 7.4766 Å, b = 7.4766 Å, c = 18.2330 Å
α = 90.00°, β = 90.00°, γ = 120.00°
Fractional positions:
Cs1 0.0000 0.0000 0.2500
Cs2 0.0000 0.0000 0.7500
Cs3 0.3333 0.6667 0.0754
Cs4 0.3333 0.6667 0.4246
Cs5 0.6667 0.3333 0.5754
Cs6 0.6667 0.3333 0.9246
V1 0.3333 0.6667 0.6641
V2 0.3333 0.6667 0.8359
V3 0.6667 0.3333 0.1641
V4 0.6667 0.3333 0.3359
Cl1 0.0379 0.5189 0.7500
Cl2 0.1826 0.3653 0.5943
Cl3 0.1826 0.3653 0.9057
Cl4 0.1826 0.8174 0.5943
Cl5 0.1826 0.8174 0.9057
Cl6 0.3653 0.1826 0.0943
Cl7 0.3653 0.1826 0.4057
Cl8 0.4811 0.5189 0.7500
Cl9 0.4811 0.9621 0.7500
Cl10 0.5189 0.0379 0.2500
Cl11 0.5189 0.4811 0.2500
Cl12 0.6347 0.8174 0.5943
Cl13 0.6347 0.8174 0.9057
Cl14 0.8174 0.1826 0.0943
Cl15 0.8174 0.1826 0.4057
Cl16 0.8174 0.6347 0.0943
Cl17 0.8174 0.6347 0.4057
Cl18 0.9621 0.4811 0.2500

Principal peaks in the range 2θ from 10° to 80°, most intense first:
- 2θ 23.82, I = 100.0
- 2θ 31.31, I = 78.0
- 2θ 29.27, I = 63.0
- 2θ 33.96, I = 56.2
- 2θ 16.79, I = 42.5
- 2θ 48.72, I = 39.6
- 2θ 28.06, I = 39.1
- 2θ 20.04, I = 36.6
- 2θ 29.39, I = 34.0
- 2θ 57.91, I = 30.1

[6]
The following is a simulated PXRD pattern of Hg7Cl2O3. It was derived from a cell relaxed with PBE, using Cu Kα X-rays.
Kinematic intensities with the Lorentz-polarization factor, no thermal factor.

Atomic structure:
a = 6.6368 Å, b = 11.9707 Å, c = 14.8602 Å
α = 90.00°, β = 90.00°, γ = 90.00°
Fractional positions:
Hg1 0.0000 0.0000 0.0000
Hg2 0.0000 0.0000 0.5000
Hg3 0.0000 0.5000 0.0000
Hg4 0.0000 0.5000 0.5000
Hg5 0.1340 0.0362 0.2500
Hg6 0.1340 0.4638 0.7500
Hg7 0.1619 0.2454 0.7500
Hg8 0.1619 0.2546 0.2500
Hg9 0.3191 0.7099 0.6298
Hg10 0.3191 0.7099 0.8702
Hg11 0.3191 0.7901 0.1298
Hg12 0.3191 0.7901 0.3702
Hg13 0.4678 0.1164 0.0793
Hg14 0.4678 0.1164 0.4207
Hg15 0.4678 0.3836 0.5793
Hg16 0.4678 0.3836 0.9207
Hg17 0.5322 0.6164 0.0793
Hg18 0.5322 0.6164 0.4207
Hg19 0.5322 0.8836 0.5793
Hg20 0.5322 0.8836 0.9207
Hg21 0.6809 0.2099 0.6298
Hg22 0.6809 0.2099 0.8702
Hg23 0.6809 0.2901 0.1298
Hg24 0.6809 0.2901 0.3702
Hg25 0.8381 0.7454 0.7500
Hg26 0.8381 0.7546 0.2500
Hg27 0.8660 0.5362 0.2500
Hg28 0.8660 0.9638 0.7500
Cl1 0.0752 0.2500 0.0000
Cl2 0.0752 0.2500 0.5000
Cl3 0.3332 0.0572 0.7500
Cl4 0.3332 0.4428 0.2500
Cl5 0.6668 0.5572 0.7500
Cl6 0.6668 0.9428 0.2500
Cl7 0.9248 0.7500 0.0000
Cl8 0.9248 0.7500 0.5000
O1 0.1443 0.6416 0.7500
O2 0.1443 0.8584 0.2500
O3 0.2837 0.5304 0.5527
O4 0.2837 0.5304 0.9473
O5 0.2837 0.9696 0.0527
O6 0.2837 0.9696 0.4473
O7 0.7163 0.0304 0.5527
O8 0.7163 0.0304 0.9473
O9 0.7163 0.4696 0.0527
O10 0.7163 0.4696 0.4473
O11 0.8557 0.1416 0.7500
O12 0.8557 0.3584 0.2500

Principal peaks in the range 2θ from 10° to 80°, most intense first:
- 2θ 27.51, I = 100.0
- 2θ 28.53, I = 91.4
- 2θ 16.40, I = 53.4
- 2θ 26.95, I = 53.1
- 2θ 32.83, I = 49.5
- 2θ 35.70, I = 43.5
- 2θ 29.48, I = 40.4
- 2θ 28.27, I = 38.3
- 2θ 30.45, I = 37.8
- 2θ 33.35, I = 32.4